[1]
Simulated powder X-ray diffraction pattern
Compound: Zr6CoSn2H10
Radiation: a wavelength of 1.5418 Å
Structure: a crystal structure in Alexandria, relaxed with GGA-PBE
No peak broadening, texture or thermal motion is included.

Main lines, by angle (2θ from 10° to 90°):
| 2θ/deg | Rel. int. |
| --- | --- |
| 32.8 | 1000 |
| 33.7 | 580 |
| 35.3 | 688 |
| 35.9 | 235 |
| 38.3 | 578 |
| 41.9 | 411 |
| 49.6 | 170 |
| 60.2 | 158 |
| 61.3 | 174 |
| 62.8 | 307 |

Structure:
abc: 8.1364 8.1364 7.3558
angles: 90.00 90.00 120.00
Space group P-62c (No. 190)
Unique sites:
Zr  0.0000  0.7442  0.0000 (multiplicity 6)
Zr  0.0474  0.4178  0.2500 (multiplicity 6)
Co  0.0000  0.0000  0.2500 (multiplicity 2)
Sn  0.3333  0.6667  0.5416 (multiplicity 4)
H  0.0000  0.0000  0.0000 (multiplicity 2)
H  0.0000  0.2765  0.0000 (multiplicity 6)
H  0.1066  0.7048  0.2500 (multiplicity 6)
H  0.1173  0.2345  0.7500 (multiplicity 6)

=====

[2]
Simulated powder X-ray diffraction pattern
Compound: SrCoH5
Radiation: a wavelength of 1.5418 Å
Structure: a crystal structure in Alexandria, relaxed with GGA-PBE
No peak broadening, texture or thermal motion is included.

Main lines, by angle (2θ from 10° to 90°):
| 2θ/deg | Rel. int. |
| --- | --- |
| 25.4 | 822 |
| 30.9 | 1000 |
| 33.7 | 378 |
| 40.5 | 923 |
| 42.7 | 419 |
| 58.5 | 147 |
| 59.9 | 142 |
| 61.9 | 252 |
| 64.8 | 222 |
| 70.5 | 175 |

Structure:
abc: 3.442 5.324 7.010
angles: 90.00 90.00 90.00
Space group Immm (No. 71)
Unique sites:
Sr  0.000  0.000  0.000 (multiplicity 2)
Co  0.000  0.000  0.500 (multiplicity 2)
H  0.000  0.207  0.347 (multiplicity 8)
H  0.000  0.500  0.000 (multiplicity 2)

=====

[3]
Simulated powder X-ray diffraction pattern
Compound: SrCoH3
Radiation: a wavelength of 1.5418 Å
Structure: a crystal structure in Alexandria, relaxed with GGA-PBE
No peak broadening, texture or thermal motion is included.

Main lines, by angle (2θ from 10° to 90°):
| 2θ/deg | Rel. int. |
| --- | --- |
| 22.1 | 244 |
| 31.5 | 805 |
| 36.0 | 749 |
| 37.5 | 1000 |
| 49.7 | 217 |
| 53.0 | 246 |
| 63.9 | 199 |
| 66.6 | 332 |
| 66.7 | 236 |
| 67.6 | 167 |

Structure:
abc: 4.7983 4.7983 15.5966
angles: 90.00 90.00 120.00
Space group R-3m (No. 166, hexagonal axes)
Unique sites:
Sr  0.0000  0.0000  0.1054 (multiplicity 6)
Co  0.0000  0.0000  0.3307 (multiplicity 6)
H  0.0005  0.5003  0.0650 (multiplicity 18)

=====

[4]
Simulated powder X-ray diffraction pattern
Compound: SrCo2H7
Radiation: a wavelength of 1.5418 Å
Structure: a crystal structure in Alexandria, relaxed with GGA-PBE
No peak broadening, texture or thermal motion is included.

Main lines, by angle (2θ from 10° to 90°):
| 2θ/deg | Rel. int. |
| --- | --- |
| 32.8 | 844 |
| 33.1 | 1000 |
| 35.6 | 917 |
| 36.4 | 473 |
| 49.8 | 484 |
| 52.5 | 167 |
| 62.0 | 330 |
| 63.5 | 215 |
| 65.1 | 444 |
| 65.6 | 155 |

Structure:
abc: 4.932 8.794 3.485
angles: 90.00 90.00 90.00
Space group Cmmm (No. 65)
Unique sites:
Sr  0.000  0.000  0.000 (multiplicity 2)
Co  0.000  0.314  0.500 (multiplicity 4)
H  0.000  0.323  0.000 (multiplicity 4)
H  0.000  0.500  0.500 (multiplicity 2)
H  0.182  0.158  0.500 (multiplicity 8)

=====

[5]
Simulated powder X-ray diffraction pattern
Compound: SrTaCo2H8
Radiation: a wavelength of 1.5418 Å
Structure: a crystal structure in Alexandria, relaxed with GGA-PBE
No peak broadening, texture or thermal motion is included.

Main lines, by angle (2θ from 10° to 90°):
| 2θ/deg | Rel. int. |
| --- | --- |
| 15.4 | 382 |
| 25.0 | 309 |
| 30.9 | 1000 |
| 40.0 | 626 |
| 43.1 | 179 |
| 48.2 | 143 |
| 51.4 | 233 |
| 51.5 | 225 |
| 58.4 | 154 |
| 67.0 | 211 |

Structure:
abc: 4.5076 4.5076 17.2681
angles: 90.00 90.00 120.00
Space group R-3m (No. 166, hexagonal axes)
Unique sites:
Sr  0.0000  0.0000  0.0000 (multiplicity 3)
Ta  0.0000  0.0000  0.5000 (multiplicity 3)
Co  0.0000  0.0000  0.2152 (multiplicity 6)
H  0.0000  0.0000  0.3014 (multiplicity 6)
H  0.0334  0.5167  0.0786 (multiplicity 18)

=====

[6]
Simulated powder X-ray diffraction pattern
Compound: SrZnCoH6
Radiation: a wavelength of 1.5418 Å
Structure: a crystal structure in Alexandria, relaxed with GGA-PBE
No peak broadening, texture or thermal motion is included.

Main lines, by angle (2θ from 10° to 90°):
| 2θ/deg | Rel. int. |
| --- | --- |
| 30.0 | 1000 |
| 39.4 | 149 |
| 39.7 | 460 |
| 50.6 | 222 |
| 57.2 | 312 |
| 65.7 | 99 |
| 66.2 | 194 |
| 72.1 | 74 |
| 79.6 | 57 |
| 85.4 | 96 |

Structure:
abc: 4.5370 4.5370 4.5704
angles: 90.00 90.00 120.00
Space group P-6m2 (No. 187)
Unique sites:
Sr  0.0000  0.0000  0.0000 (multiplicity 1)
Zn  0.3333  0.6667  0.5000 (multiplicity 1)
Co  0.6667  0.3333  0.5000 (multiplicity 1)
H  0.5191  0.0383  0.2629 (multiplicity 6)

=====

[7]
Simulated powder X-ray diffraction pattern
Compound: TaCo3H
Radiation: a wavelength of 1.5418 Å
Structure: a crystal structure in Alexandria, relaxed with GGA-PBE
No peak broadening, texture or thermal motion is included.

Main lines, by angle (2θ from 10° to 90°):
| 2θ/deg | Rel. int. |
| --- | --- |
| 15.8 | 432 |
| 30.1 | 791 |
| 32.1 | 780 |
| 36.1 | 695 |
| 41.1 | 398 |
| 42.4 | 940 |
| 42.8 | 907 |
| 44.1 | 1000 |
| 48.7 | 623 |
| 51.4 | 629 |

Structure:
abc: 11.535 7.370 5.152
angles: 90.00 103.36 90.00
Space group C2/c (No. 15)
Unique sites:
Ta  0.000  0.078  0.250 (multiplicity 4)
Ta  0.000  0.348  0.750 (multiplicity 4)
Co  0.167  0.166  0.063 (multiplicity 8)
Co  0.170  0.500  0.087 (multiplicity 8)
Co  0.177  0.166  0.597 (multiplicity 8)
H  0.149  0.327  0.323 (multiplicity 8)

=====

[8]
Simulated powder X-ray diffraction pattern
Compound: Ta2Co2H7
Radiation: a wavelength of 1.5418 Å
Structure: a crystal structure in Alexandria, relaxed with GGA-PBE
No peak broadening, texture or thermal motion is included.

Main lines, by angle (2θ from 10° to 90°):
| 2θ/deg | Rel. int. |
| --- | --- |
| 21.2 | 429 |
| 29.2 | 208 |
| 36.3 | 1000 |
| 37.1 | 943 |
| 42.5 | 616 |
| 43.1 | 307 |
| 47.9 | 228 |
| 62.1 | 414 |
| 73.2 | 243 |
| 74.7 | 226 |

Structure:
abc: 5.926 6.122 4.198
angles: 90.00 90.00 90.00
Space group Cmmm (No. 65)
Unique sites:
Ta  0.239  0.000  0.000 (multiplicity 4)
Co  0.000  0.266  0.500 (multiplicity 4)
H  0.000  0.000  0.500 (multiplicity 2)
H  0.000  0.500  0.287 (multiplicity 4)
H  0.250  0.250  0.289 (multiplicity 8)

=====

[9]
Simulated powder X-ray diffraction pattern
Compound: TaCo3H
Radiation: a wavelength of 1.5418 Å
Structure: a crystal structure in Alexandria, relaxed with GGA-PBE
No peak broadening, texture or thermal motion is included.

Main lines, by angle (2θ from 10° to 90°):
| 2θ/deg | Rel. int. |
| --- | --- |
| 28.9 | 387 |
| 34.2 | 160 |
| 39.7 | 246 |
| 42.8 | 266 |
| 45.3 | 1000 |
| 59.8 | 143 |
| 72.0 | 157 |
| 80.3 | 176 |
| 87.6 | 188 |
| 89.3 | 133 |

Structure:
abc: 5.2455 5.2455 4.2213
angles: 90.00 90.00 120.00
Space group P3m1 (No. 156)
Unique sites:
Ta  0.0000  0.0000  0.0000 (multiplicity 1)
Ta  0.3333  0.6667  0.4922 (multiplicity 1)
Co  0.3405  0.1703  0.4961 (multiplicity 3)
Co  0.5117  0.0233  0.0012 (multiplicity 3)
H  0.3333  0.6667  0.9827 (multiplicity 1)
H  0.6667  0.3333  0.7192 (multiplicity 1)

=====

[10]
Simulated powder X-ray diffraction pattern
Compound: TaCo3H
Radiation: a wavelength of 1.5418 Å
Structure: a crystal structure in Alexandria, relaxed with GGA-PBE
No peak broadening, texture or thermal motion is included.

Main lines, by angle (2θ from 10° to 90°):
| 2θ/deg | Rel. int. |
| --- | --- |
| 25.8 | 314 |
| 27.4 | 577 |
| 39.9 | 610 |
| 43.1 | 805 |
| 44.2 | 643 |
| 45.0 | 572 |
| 45.4 | 900 |
| 45.8 | 1000 |
| 59.8 | 253 |
| 71.0 | 318 |

Structure:
abc: 4.201 5.172 4.640
angles: 90.00 91.09 90.00
Space group P2_1/m (No. 11)
Unique sites:
Ta  0.239  0.250  0.355 (multiplicity 2)
Co  0.247  0.750  0.320 (multiplicity 2)
Co  0.249  0.004  0.838 (multiplicity 4)
H  0.476  0.750  0.007 (multiplicity 2)

=====

[11]
Simulated powder X-ray diffraction pattern
Compound: TbZnCo2H8
Radiation: a wavelength of 1.5418 Å
Structure: a crystal structure in Alexandria, relaxed with GGA-PBE
No peak broadening, texture or thermal motion is included.

Main lines, by angle (2θ from 10° to 90°):
| 2θ/deg | Rel. int. |
| --- | --- |
| 22.4 | 695 |
| 26.8 | 733 |
| 37.1 | 1000 |
| 39.4 | 720 |
| 48.3 | 138 |
| 49.7 | 187 |
| 55.2 | 317 |
| 65.3 | 198 |
| 69.9 | 303 |
| 79.0 | 159 |

Structure:
abc: 4.5754 4.5754 6.1252
angles: 90.00 90.00 120.00
Space group P-3m1 (No. 164)
Unique sites:
Tb  0.0000  0.0000  0.0000 (multiplicity 1)
Zn  0.0000  0.0000  0.5000 (multiplicity 1)
Co  0.3333  0.6667  0.3390 (multiplicity 2)
H  0.1486  0.2971  0.2905 (multiplicity 6)
H  0.3333  0.6667  0.0867 (multiplicity 2)

=====

[12]
Simulated powder X-ray diffraction pattern
Compound: TiCo2H2
Radiation: a wavelength of 1.5418 Å
Structure: a crystal structure in Alexandria, relaxed with GGA-PBE
No peak broadening, texture or thermal motion is included.

Main lines, by angle (2θ from 10° to 90°):
| 2θ/deg | Rel. int. |
| --- | --- |
| 30.4 | 51 |
| 40.5 | 632 |
| 43.6 | 1000 |
| 43.8 | 16 |
| 58.6 | 204 |
| 61.2 | 26 |
| 68.0 | 52 |
| 75.9 | 336 |
| 82.3 | 120 |
| 87.6 | 60 |

Structure:
abc: 3.149 3.149 8.269
angles: 90.00 90.00 90.00
Space group I4/mmm (No. 139)
Unique sites:
Ti  0.000  0.000  0.000 (multiplicity 2)
Co  0.000  0.000  0.345 (multiplicity 4)
H  0.000  0.500  0.250 (multiplicity 4)

=====

[13]
Simulated powder X-ray diffraction pattern
Compound: Ti2CoH8
Radiation: a wavelength of 1.5418 Å
Structure: a crystal structure in Alexandria, relaxed with GGA-PBE
No peak broadening, texture or thermal motion is included.

Main lines, by angle (2θ from 10° to 90°):
| 2θ/deg | Rel. int. |
| --- | --- |
| 15.8 | 174 |
| 33.2 | 715 |
| 33.4 | 712 |
| 38.1 | 1000 |
| 38.7 | 877 |
| 46.8 | 293 |
| 48.8 | 198 |
| 62.2 | 328 |
| 62.4 | 214 |
| 72.5 | 247 |

Structure:
abc: 11.840 2.981 3.880
angles: 90.00 108.92 90.00
Space group C2/m (No. 12)
Unique sites:
Ti  0.152  0.000  0.151 (multiplicity 4)
Co  0.000  0.500  0.500 (multiplicity 2)
H  0.000  0.000  0.259 (multiplicity 4)
H  0.120  0.500  0.850 (multiplicity 4)
H  0.121  0.500  0.391 (multiplicity 4)
H  0.234  0.000  0.735 (multiplicity 4)